# Zr5Sc2O13
Computed X-ray diffraction stick pattern, CuKα. Input: a crystal structure in the Materials Project, relaxed with GGA-PBE.

Structure:
Unit cell a=9.6800 b=9.6800 c=17.5863 alpha=90.00 beta=90.00 gamma=120.00
Space group R3 (No. 146, hexagonal axes)
Symmetry-distinct sites (fractional):
Zr  0.0000  0.0000  0.0000
Zr  0.0348  0.2262  0.6713
Zr  0.1058  0.7073  0.4921
Zr  0.1454  0.7035  0.9851
Sc  0.0000  0.0000  0.4959
Sc  0.0411  0.2658  0.1658
O  0.0000  0.0000  0.3523
O  0.0000  0.0000  0.6391
O  0.0103  0.8143  0.9378
O  0.0255  0.1968  0.7962
O  0.0376  0.2491  0.2918
O  0.0683  0.2352  0.5452
O  0.1188  0.7021  0.3653
O  0.1439  0.4668  0.7203
O  0.1561  0.6925  0.8614
O  0.1647  0.7303  0.1131

Most intense lines, 2θ = 5–70°, in order of falling intensity:
- hkl 3 -2 2, 2θ = 29.98°, I 1000
- hkl 3 -2 8, 2θ = 50.53°, I 331
- hkl 1 4 0, 2θ = 49.85°, I 327
- hkl 0 0 6, 2θ = 30.50°, I 317
- hkl 2 1 4, 2θ = 34.90°, I 266
- hkl 5 -1 6, 2θ = 59.57°, I 214
- hkl 2 1 10, 2θ = 60.18°, I 117
- hkl 4 2 2, 2θ = 59.27°, I 109
- hkl 2 -1 3, 2θ = 23.84°, I 86
- hkl 0 0 3, 2θ = 15.11°, I 58



# SeO2
Computed X-ray diffraction stick pattern, CuKα. Input: a crystal structure in the Materials Project, relaxed with GGA-PBE.

Structure:
Unit cell a=5.216 b=4.663 c=7.936 alpha=90.00 beta=90.00 gamma=90.00
Space group Pmc2_1 (No. 26)
Symmetry-distinct sites (fractional):
Se  0.000  0.115  0.000
Se  0.500  0.253  0.376
O  0.000  0.241  0.194
O  0.251  0.155  0.531
O  0.500  0.399  0.909

Most intense lines, 2θ = 5–70°, in order of falling intensity:
- hkl 1 1 1, 2θ = 28.02°, I 1000
- hkl 0 0 2, 2θ = 22.41°, I 584
- hkl 1 0 2, 2θ = 28.26°, I 572
- hkl 2 0 0, 2θ = 34.35°, I 491
- hkl 0 1 1, 2θ = 22.11°, I 296
- hkl 1 1 0, 2θ = 25.62°, I 290
- hkl 2 1 3, 2θ = 53.09°, I 242
- hkl 1 0 4, 2θ = 49.13°, I 240
- hkl 0 1 0, 2θ = 19.03°, I 220
- hkl 0 1 2, 2θ = 29.56°, I 191



# SeO2
Computed X-ray diffraction stick pattern, CuKα. Input: a crystal structure in the Materials Project, relaxed with GGA-PBE.

Structure:
Unit cell a=8.713 b=8.713 c=5.203 alpha=90.00 beta=90.00 gamma=90.00
Space group P4_2/mbc (No. 135)
Symmetry-distinct sites (fractional):
Se  0.133  0.213  0.000
O  0.054  0.820  0.000
O  0.138  0.362  0.250

Most intense lines, 2θ = 5–70°, in order of falling intensity:
- hkl 2 1 1, 2θ = 28.62°, I 1000
- hkl 2 0 1, 2θ = 26.69°, I 589
- hkl 2 1 0, 2θ = 22.82°, I 581
- hkl 2 0 0, 2θ = 20.39°, I 495
- hkl 4 0 1, 2θ = 45.12°, I 250
- hkl 0 0 2, 2θ = 34.47°, I 241
- hkl 3 2 2, 2θ = 51.62°, I 170
- hkl 3 1 2, 2θ = 48.10°, I 169
- hkl 4 1 1, 2θ = 46.38°, I 162
- hkl 6 1 0, 2θ = 65.12°, I 145



# SeO2
Computed X-ray diffraction stick pattern, CuKα. Input: a crystal structure in the Materials Project, relaxed with GGA-PBE.

Structure:
Unit cell a=5.218 b=4.685 c=16.047 alpha=90.00 beta=90.00 gamma=90.00
Space group Pmc2_1 (No. 26)
Symmetry-distinct sites (fractional):
Se  0.000  0.014  0.000
Se  0.000  0.474  0.749
Se  0.500  0.162  0.312
Se  0.500  0.390  0.061
O  0.000  0.126  0.764
O  0.000  0.330  0.520
O  0.249  0.434  0.326
O  0.250  0.118  0.075
O  0.500  0.037  0.408
O  0.500  0.490  0.657

Most intense lines, 2θ = 5–70°, in order of falling intensity:
- hkl 1 1 2, 2θ = 27.90°, I 1000
- hkl 0 0 4, 2θ = 22.16°, I 624
- hkl 1 0 4, 2θ = 28.06°, I 594
- hkl 1 1 1, 2θ = 26.16°, I 311
- hkl 0 1 2, 2θ = 21.97°, I 305
- hkl 2 0 0, 2θ = 34.37°, I 296
- hkl 2 1 6, 2θ = 52.78°, I 265
- hkl 1 0 8, 2θ = 48.63°, I 248
- hkl 1 2 1, 2θ = 42.65°, I 201
- hkl 3 1 2, 2θ = 57.68°, I 188



# SeO4
Computed X-ray diffraction stick pattern, CuKα. Input: a crystal structure in the Materials Project, relaxed with GGA-PBE.

Structure:
Unit cell a=4.807 b=8.312 c=8.797 alpha=90.00 beta=90.00 gamma=90.00
Space group P2_12_12_1 (No. 19)
Symmetry-distinct sites (fractional):
Se  0.184  0.034  0.385
O  0.043  0.123  0.233
O  0.057  0.855  0.962
O  0.064  0.496  0.984
O  0.160  0.139  0.833

Most intense lines, 2θ = 5–70°, in order of falling intensity:
- hkl 0 2 0, 2θ = 21.36°, I 1000
- hkl 0 1 2, 2θ = 22.87°, I 618
- hkl 1 0 2, 2θ = 27.49°, I 410
- hkl 1 2 2, 2θ = 35.08°, I 283
- hkl 1 1 4, 2θ = 46.72°, I 170
- hkl 0 2 1, 2θ = 23.66°, I 168
- hkl 1 3 1, 2θ = 38.89°, I 146
- hkl 2 0 4, 2θ = 56.76°, I 106
- hkl 2 1 2, 2θ = 44.31°, I 97
- hkl 1 5 1, 2θ = 59.75°, I 87



# Se2O5
Computed X-ray diffraction stick pattern, CuKα. Input: a crystal structure in the Materials Project, relaxed with GGA-PBE.

Structure:
Unit cell a=4.857 b=7.110 c=14.019 alpha=90.00 beta=91.13 gamma=90.00
Space group P2_1/c (No. 14)
Symmetry-distinct sites (fractional):
Se  0.001  0.214  0.129
Se  0.132  0.241  0.860
O  0.199  0.170  0.039
O  0.200  0.602  0.874
O  0.201  0.749  0.139
O  0.220  0.524  0.347
O  0.230  0.218  0.228

Most intense lines, 2θ = 5–70°, in order of falling intensity:
- hkl 1 0 0, 2θ = 18.27°, I 1000
- hkl 0 0 4, 2θ = 25.42°, I 614
- hkl 0 2 0, 2θ = 25.05°, I 563
- hkl 1 2 0, 2θ = 31.18°, I 482
- hkl 1 0 4, 2θ = 31.78°, I 292
- hkl 0 2 4, 2θ = 35.99°, I 226
- hkl 1 1 0, 2θ = 22.17°, I 195
- hkl 1 2 4, 2θ = 40.89°, I 157
- hkl 1 0 -2, 2θ = 22.07°, I 145
- hkl 1 2 -4, 2θ = 40.41°, I 131



# SeO2
Computed X-ray diffraction stick pattern, CuKα. Input: a crystal structure in the Materials Project, relaxed with GGA-PBE.

Structure:
Unit cell a=8.676 b=8.773 c=5.208 alpha=90.00 beta=90.00 gamma=90.00
Space group Pbam (No. 55)
Symmetry-distinct sites (fractional):
Se  0.123  0.213  0.000
Se  0.219  0.864  0.500
O  0.065  0.817  0.000
O  0.130  0.361  0.250
O  0.179  0.048  0.500

Most intense lines, 2θ = 5–70°, in order of falling intensity:
- hkl 1 2 1, 2θ = 28.53°, I 1000
- hkl 2 1 1, 2θ = 28.65°, I 916
- hkl 2 0 1, 2θ = 26.75°, I 749
- hkl 1 2 0, 2θ = 22.72°, I 644
- hkl 2 1 0, 2θ = 22.87°, I 626
- hkl 0 2 1, 2θ = 26.57°, I 588
- hkl 0 2 0, 2θ = 20.25°, I 559
- hkl 0 0 2, 2θ = 34.44°, I 493
- hkl 2 0 0, 2θ = 20.47°, I 392
- hkl 4 0 1, 2θ = 45.29°, I 317



# Tb2SiSeO4
Computed X-ray diffraction stick pattern, CuKα. Input: a crystal structure in the Materials Project, relaxed with GGA-PBE.

Structure:
Unit cell a=6.089 b=7.019 c=10.889 alpha=90.00 beta=90.00 gamma=90.00
Space group Pbcm (No. 57)
Symmetry-distinct sites (fractional):
Tb  0.110  0.250  0.000
Tb  0.367  0.530  0.250
Si  0.385  0.750  0.000
Se  0.071  0.629  0.750
O  0.223  0.569  0.032
O  0.449  0.239  0.620

Most intense lines, 2θ = 5–70°, in order of falling intensity:
- hkl 0 2 2, 2θ = 30.30°, I 1000
- hkl 0 0 4, 2θ = 32.90°, I 713
- hkl 2 1 1, 2θ = 33.11°, I 628
- hkl 2 1 2, 2θ = 36.15°, I 551
- hkl 1 1 1, 2θ = 20.97°, I 493
- hkl 1 1 2, 2θ = 25.35°, I 449
- hkl 1 0 2, 2θ = 21.90°, I 421
- hkl 0 4 0, 2θ = 52.08°, I 401
- hkl 1 2 4, 2θ = 44.68°, I 385
- hkl 0 2 6, 2θ = 57.17°, I 384